No. 1
Diffraction record for ZrN2. The powder X-ray diffraction pattern is theoretical, not measured: it uses a crystal structure in the Materials Project, relaxed with GGA-PBE and Cu Kα (λ = 1.5418 Å).

Structure:
```
data_ZrN2
_space_group_name_H-M_alt 'I 4/m m m'
_space_group_IT_number 139
_space_group_name_Hall '-I 4 2'
_cell_length_a 3.511
_cell_length_b 3.511
_cell_length_c 5.825
_cell_angle_alpha 90.00
_cell_angle_beta 90.00
_cell_angle_gamma 90.00
loop_
_atom_site_label
_atom_site_type_symbol
_atom_site_fract_x
_atom_site_fract_y
_atom_site_fract_z
Zr1 Zr 0.000 0.000 0.000
N1 N 0.000 0.500 0.250
```

Top 6 peaks for 15 to 90 degrees two-theta, sorted by position:
2θ = 29.7°, I 100, hkl 1 0 1; 2θ = 36.2°, I 15, hkl 1 1 0; 2θ = 48.2°, I 40, hkl 1 1 2; 2θ = 52.1°, I 15, hkl 2 0 0; 2θ = 54.0°, I 18, hkl 1 0 3; 2θ = 61.1°, I 24, hkl 2 1 1

No. 2
Diffraction record for Er5P12Ru19. The powder X-ray diffraction pattern is theoretical, not measured: it uses a crystal structure in the Materials Project, relaxed with GGA-PBE and Cu Kα (λ = 1.5418 Å).

Structure:
```
data_Er5P12Ru19
_space_group_name_H-M_alt 'P -6 2 m'
_space_group_IT_number 189
_space_group_name_Hall 'P -6 -2'
_cell_length_a 12.5101
_cell_length_b 12.5101
_cell_length_c 3.9616
_cell_angle_alpha 90.00
_cell_angle_beta 90.00
_cell_angle_gamma 120.00
loop_
_atom_site_label
_atom_site_type_symbol
_atom_site_fract_x
_atom_site_fract_y
_atom_site_fract_z
Er1 Er 0.0000 0.8152 0.0000
Er2 Er 0.3333 0.6667 0.5000
P1 P 0.0000 0.1834 0.5000
P2 P 0.0000 0.6278 0.5000
P3 P 0.1702 0.4780 0.0000
Ru1 Ru 0.0000 0.0000 0.5000
Ru2 Ru 0.0000 0.2828 0.0000
Ru3 Ru 0.0000 0.4453 0.5000
Ru4 Ru 0.1262 0.6350 0.0000
Ru5 Ru 0.1842 0.3769 0.5000
```

Top 6 peaks for 15 to 90 degrees two-theta, sorted by position:
2θ = 28.5°, I 17, hkl 2 2 0; 2θ = 36.6°, I 100, hkl 2 2 1; 2θ = 37.6°, I 25, hkl 3 1 1; 2θ = 38.1°, I 13, hkl 4 1 0; 2θ = 45.8°, I 23, hkl 0 0 2; 2θ = 50.5°, I 15, hkl 6 0 0

No. 3
Diffraction record for KPaO3. The powder X-ray diffraction pattern is theoretical, not measured: it uses a crystal structure in the Materials Project, relaxed with GGA-PBE and Cu Kα (λ = 1.5418 Å).

Structure:
```
data_KPaO3
_space_group_name_H-M_alt 'P m -3 m'
_space_group_IT_number 221
_space_group_name_Hall '-P 4 2 3'
_cell_length_a 4.387
_cell_length_b 4.387
_cell_length_c 4.387
_cell_angle_alpha 90.00
_cell_angle_beta 90.00
_cell_angle_gamma 90.00
loop_
_atom_site_label
_atom_site_type_symbol
_atom_site_fract_x
_atom_site_fract_y
_atom_site_fract_z
K1 K 0.000 0.000 0.000
Pa1 Pa 0.500 0.500 0.500
O1 O 0.000 0.500 0.500
```

Top 6 peaks for 15 to 90 degrees two-theta, sorted by position:
2θ = 20.2°, I 75, hkl 1 0 0; 2θ = 28.8°, I 100, hkl 1 1 0; 2θ = 41.2°, I 30, hkl 2 0 0; 2θ = 46.3°, I 37, hkl 2 1 0; 2θ = 51.0°, I 42, hkl 2 1 1; 2θ = 82.2°, I 22, hkl 3 2 1

No. 4
Diffraction record for CsK2AsF6. The powder X-ray diffraction pattern is theoretical, not measured: it uses a crystal structure in the Materials Project, relaxed with GGA-PBE and Cu Kα (λ = 1.5418 Å).

Structure:
```
data_CsK2AsF6
_space_group_name_H-M_alt 'F m -3 m'
_space_group_IT_number 225
_space_group_name_Hall '-F 4 2 3'
_cell_length_a 9.692
_cell_length_b 9.692
_cell_length_c 9.692
_cell_angle_alpha 90.00
_cell_angle_beta 90.00
_cell_angle_gamma 90.00
loop_
_atom_site_label
_atom_site_type_symbol
_atom_site_fract_x
_atom_site_fract_y
_atom_site_fract_z
Cs1 Cs 0.000 0.000 0.000
K1 K 0.250 0.250 0.250
As1 As 0.000 0.000 0.500
F1 F 0.000 0.000 0.287
```

Top 6 peaks for 15 to 90 degrees two-theta, sorted by position:
2θ = 18.3°, I 50, hkl 2 0 0; 2θ = 26.0°, I 100, hkl 2 2 0; 2θ = 37.1°, I 44, hkl 4 0 0; 2θ = 45.9°, I 37, hkl 4 2 2; 2θ = 53.5°, I 26, hkl 4 4 0; 2θ = 73.1°, I 22, hkl 6 4 2

No. 5
Diffraction record for EuB4Os4. The powder X-ray diffraction pattern is theoretical, not measured: it uses a crystal structure in the Materials Project, relaxed with GGA-PBE and Cu Kα (λ = 1.5418 Å).

Structure:
```
data_EuB4Os4
_space_group_name_H-M_alt 'P 42/n'
_space_group_IT_number 86
_cell_length_a 7.587
_cell_length_b 7.587
_cell_length_c 4.036
_cell_angle_alpha 90.00
_cell_angle_beta 90.00
_cell_angle_gamma 90.00
loop_
_space_group_symop_operation_xyz
'x,y,z'
'-x,-y,-z'
'-y,x+1/2,z+1/2'
'y,-x+1/2,-z+1/2'
'-x+1/2,-y+1/2,z'
'x+1/2,y+1/2,-z'
'y+1/2,-x,z+1/2'
'-y+1/2,x,-z+1/2'
loop_
_atom_site_label
_atom_site_type_symbol
_atom_site_fract_x
_atom_site_fract_y
_atom_site_fract_z
Eu1 Eu 0.250 0.250 0.250
B1 B 0.037 0.584 0.137
Os1 Os 0.106 0.859 0.135
```

Top 6 peaks for 15 to 90 degrees two-theta, sorted by position:
2θ = 16.5°, I 33, hkl 1 1 0; 2θ = 34.5°, I 100, hkl 1 2 1; 2θ = 37.5°, I 62, hkl 3 1 0; 2θ = 40.4°, I 35, hkl 2 2 1; 2θ = 46.6°, I 30, hkl 1 0 2; 2θ = 48.8°, I 26, hkl 3 2 1